# 1
Diffraction record for Fe2Co. The powder diffraction line list is computed, not measured: it uses DFT lattice parameters and positions (PBE) and Cu Kα.
Kinematic intensities with the Lorentz-polarization factor, no thermal factor.

Structural model:
abc: 2.8506 2.8506 8.5362
angles: 90.00 90.00 90.00
Sites, in units of the cell vectors:
Fe 0.0000 0.0000 0.0000
Fe 0.0000 0.0000 0.3325
Fe 0.0000 0.0000 0.6676
Fe 0.5000 0.5000 0.5000
Co 0.5000 0.5000 0.1653
Co 0.5000 0.5000 0.8347

Top 4 peaks for 2θ = 10–90°, in order of rising 2θ:
| 2theta | Rel. int. |
| --- | --- |
| 45.00 | 100 |
| 65.49 | 10 |
| 65.62 | 5 |
| 83.03 | 29 |


# 2
Diffraction record for Ag2BS5. The powder diffraction line list is computed, not measured: it uses DFT lattice parameters and positions (PBE) and Cu Kα.
Kinematic intensities with the Lorentz-polarization factor, no thermal factor.

Structural model:
abc: 11.5181 6.1344 5.8962
angles: 90.00 119.13 90.00
Sites, in units of the cell vectors:
Ag 0.0000 0.2396 0.0000
Ag 0.0000 0.7604 0.0000
Ag 0.5000 0.2604 0.0000
Ag 0.5000 0.7396 0.0000
B 0.3325 0.5000 0.3977
B 0.8325 0.0000 0.3977
S 0.1728 0.5000 0.0787
S 0.3143 0.0000 0.2842
S 0.3182 0.5000 0.7025
S 0.4488 0.2557 0.4045
S 0.4488 0.7443 0.4045
S 0.6728 0.0000 0.0787
S 0.8143 0.5000 0.2842
S 0.8182 0.0000 0.7025
S 0.9488 0.2443 0.4045
S 0.9488 0.7557 0.4045

Top 12 peaks for 2θ = 10–90°, in order of rising 2θ:
| 2theta | Rel. int. |
| --- | --- |
| 17.22 | 44 |
| 17.64 | 100 |
| 29.11 | 12 |
| 30.32 | 58 |
| 34.02 | 13 |
| 34.24 | 69 |
| 35.73 | 26 |
| 42.52 | 26 |
| 46.02 | 18 |
| 46.73 | 35 |
| 56.55 | 13 |
| 57.33 | 13 |


# 3
Diffraction record for Pm4MgAl2. The powder diffraction line list is computed, not measured: it uses DFT lattice parameters and positions (PBE) and Cu Kα.
Kinematic intensities with the Lorentz-polarization factor, no thermal factor.

Structural model:
abc: 8.9255 8.9255 8.9255
angles: 34.20 34.20 34.20
Sites, in units of the cell vectors:
Pm 0.1147 0.1147 0.1147
Pm 0.3679 0.3679 0.3679
Pm 0.6321 0.6321 0.6321
Pm 0.8853 0.8853 0.8853
Mg 0.5000 0.5000 0.5000
Al 0.2428 0.2428 0.2428
Al 0.7572 0.7572 0.7572

Top 12 peaks for 2θ = 10–90°, in order of rising 2θ:
| 2theta | Rel. int. |
| --- | --- |
| 24.15 | 100 |
| 31.72 | 9 |
| 34.17 | 75 |
| 34.66 | 60 |
| 42.28 | 23 |
| 49.46 | 22 |
| 55.44 | 21 |
| 56.11 | 13 |
| 61.17 | 14 |
| 61.49 | 23 |
| 71.96 | 9 |
| 82.40 | 10 |


# 4
Diffraction record for Pm2DyYSc. The powder diffraction line list is computed, not measured: it uses DFT lattice parameters and positions (PBE) and Cu Kα.
Kinematic intensities with the Lorentz-polarization factor, no thermal factor.

Structural model:
abc: 7.0126 7.0126 7.1515
angles: 90.00 90.00 108.73
Sites, in units of the cell vectors:
Pm 0.1993 0.1993 0.0000
Pm 0.1993 0.1993 0.5000
Pm 0.8007 0.8007 0.0000
Pm 0.8007 0.8007 0.5000
Dy 0.2222 0.7778 0.7500
Dy 0.7778 0.2222 0.2500
Y 0.2454 0.7546 0.2500
Y 0.7546 0.2454 0.7500
Sc 0.4828 0.5172 0.7500
Sc 0.5172 0.4828 0.2500

Top 12 peaks for 2θ = 10–90°, in order of rising 2θ:
| 2theta | Rel. int. |
| --- | --- |
| 26.85 | 99 |
| 29.49 | 100 |
| 31.39 | 53 |
| 33.30 | 85 |
| 33.84 | 22 |
| 36.20 | 26 |
| 40.76 | 24 |
| 42.47 | 16 |
| 46.41 | 57 |
| 51.09 | 15 |
| 58.64 | 23 |
| 61.20 | 15 |


# 5
Diffraction record for Sm6Cu8P8O3. The powder diffraction line list is computed, not measured: it uses DFT lattice parameters and positions (PBE) and Cu Kα.
Kinematic intensities with the Lorentz-polarization factor, no thermal factor.

Structural model:
abc: 13.5371 13.5371 5.5381
angles: 90.00 90.00 156.39
Sites, in units of the cell vectors:
Sm 0.0000 0.5000 0.7495
Sm 0.1864 0.2842 0.2354
Sm 0.2842 0.1864 0.7646
Sm 0.5000 0.0000 0.2505
Sm 0.7158 0.8136 0.7646
Sm 0.8136 0.7158 0.2354
Cu 0.1521 0.8479 0.0000
Cu 0.1529 0.8471 0.5000
Cu 0.3450 0.6550 0.5000
Cu 0.3470 0.6530 0.0000
Cu 0.6530 0.3470 0.0000
Cu 0.6550 0.3450 0.5000
Cu 0.8471 0.1529 0.5000
Cu 0.8479 0.1521 0.0000
P 0.0425 0.4548 0.2483
P 0.1536 0.3596 0.7432
P 0.3596 0.1536 0.2568
P 0.4548 0.0425 0.7517
P 0.5452 0.9575 0.7517
P 0.6404 0.8464 0.2568
P 0.8464 0.6404 0.7432
P 0.9575 0.5452 0.2483
O 0.0000 0.0000 0.0000
O 0.0000 0.0000 0.5000
O 0.5000 0.5000 0.0000

Top 12 peaks for 2θ = 10–90°, in order of rising 2θ:
| 2theta | Rel. int. |
| --- | --- |
| 24.87 | 71 |
| 32.91 | 100 |
| 33.82 | 34 |
| 35.12 | 61 |
| 38.37 | 82 |
| 46.37 | 61 |
| 50.47 | 30 |
| 53.33 | 18 |
| 58.03 | 37 |
| 58.62 | 27 |
| 67.67 | 18 |
| 70.95 | 21 |


# 6
Diffraction record for AgAu2Cl4. The powder diffraction line list is computed, not measured: it uses DFT lattice parameters and positions (PBE) and Cu Kα.
Kinematic intensities with the Lorentz-polarization factor, no thermal factor.

Structural model:
abc: 7.6489 7.6489 7.5744
angles: 90.00 90.00 90.00
Sites, in units of the cell vectors:
Ag 0.0000 0.0000 0.0000
Ag 0.5000 0.5000 0.5000
Au 0.0000 0.5000 0.2500
Au 0.0000 0.5000 0.7500
Au 0.5000 0.0000 0.2500
Au 0.5000 0.0000 0.7500
Cl 0.1200 0.3095 0.0000
Cl 0.1905 0.6200 0.5000
Cl 0.3095 0.8800 0.0000
Cl 0.3800 0.1905 0.5000
Cl 0.6200 0.8095 0.5000
Cl 0.6905 0.1200 0.0000
Cl 0.8095 0.3800 0.5000
Cl 0.8800 0.6905 0.0000

Top 12 peaks for 2θ = 10–90°, in order of rising 2θ:
| 2theta | Rel. int. |
| --- | --- |
| 16.41 | 100 |
| 23.26 | 65 |
| 28.78 | 81 |
| 33.13 | 32 |
| 33.29 | 28 |
| 37.18 | 13 |
| 44.44 | 80 |
| 53.58 | 21 |
| 54.04 | 14 |
| 67.11 | 17 |
| 74.80 | 15 |
| 76.91 | 13 |


# 7
Diffraction record for Ac2InPbO6. The powder diffraction line list is computed, not measured: it uses DFT lattice parameters and positions (PBE) and Cu Kα.
Kinematic intensities with the Lorentz-polarization factor, no thermal factor.

Structural model:
abc: 5.7039 5.7039 5.5299
angles: 90.00 90.00 90.00
Sites, in units of the cell vectors:
Ac 0.0000 0.5000 0.0000
Ac 0.5000 0.0000 0.0000
In 0.0000 0.0000 0.5704
Pb 0.5000 0.5000 0.5554
O 0.0000 0.0000 0.1944
O 0.2440 0.2440 0.7338
O 0.2440 0.7560 0.7338
O 0.5000 0.5000 0.1480
O 0.7560 0.2440 0.7338
O 0.7560 0.7560 0.7338

Top 12 peaks for 2θ = 10–90°, in order of rising 2θ:
| 2theta | Rel. int. |
| --- | --- |
| 27.37 | 100 |
| 31.37 | 35 |
| 32.38 | 13 |
| 44.95 | 18 |
| 45.70 | 27 |
| 53.43 | 33 |
| 54.75 | 13 |
| 56.48 | 11 |
| 72.30 | 10 |
| 73.45 | 11 |
| 83.46 | 10 |
| 89.33 | 13 |


# 8
Diffraction record for BaGe2Rh. The powder diffraction line list is computed, not measured: it uses DFT lattice parameters and positions (PBE) and Cu Kα.
Kinematic intensities with the Lorentz-polarization factor, no thermal factor.

Structural model:
abc: 4.2668 4.2668 17.9278
angles: 90.00 90.00 120.00
Sites, in units of the cell vectors:
Ba 0.0000 0.0000 0.0000
Ba 0.3333 0.6667 0.6667
Ba 0.6667 0.3333 0.3333
Ge 0.0000 0.0000 0.2080
Ge 0.0000 0.0000 0.7920
Ge 0.3333 0.6667 0.4586
Ge 0.3333 0.6667 0.8747
Ge 0.6667 0.3333 0.1253
Ge 0.6667 0.3333 0.5414
Rh 0.0000 0.0000 0.5000
Rh 0.3333 0.6667 0.1667
Rh 0.6667 0.3333 0.8333

Top 12 peaks for 2θ = 10–90°, in order of rising 2θ:
| 2theta | Rel. int. |
| --- | --- |
| 14.82 | 15 |
| 26.08 | 19 |
| 29.90 | 22 |
| 31.38 | 100 |
| 34.87 | 23 |
| 42.37 | 67 |
| 52.72 | 27 |
| 53.66 | 21 |
| 57.10 | 25 |
| 70.64 | 19 |
| 73.62 | 12 |
| 88.81 | 15 |


# 9
Diffraction record for Ac2Sm7Y4. The powder diffraction line list is computed, not measured: it uses DFT lattice parameters and positions (PBE) and Cu Kα.
Kinematic intensities with the Lorentz-polarization factor, no thermal factor.

Structural model:
abc: 6.3050 6.3050 13.3182
angles: 90.00 90.00 120.00
Sites, in units of the cell vectors:
Ac 0.3333 0.6667 0.0000
Ac 0.6667 0.3333 0.0000
Sm 0.0000 0.0000 0.0000
Sm 0.0000 0.3703 0.7737
Sm 0.0000 0.6297 0.2263
Sm 0.3703 0.0000 0.7737
Sm 0.3703 0.3703 0.2263
Sm 0.6297 0.0000 0.2263
Sm 0.6297 0.6297 0.7737
Y 0.0000 0.0000 0.3939
Y 0.0000 0.0000 0.6061
Y 0.3333 0.6667 0.5000
Y 0.6667 0.3333 0.5000

Top 12 peaks for 2θ = 10–90°, in order of rising 2θ:
| 2theta | Rel. int. |
| --- | --- |
| 26.78 | 27 |
| 28.31 | 11 |
| 29.11 | 40 |
| 31.40 | 100 |
| 33.65 | 12 |
| 34.91 | 39 |
| 50.12 | 23 |
| 50.27 | 19 |
| 56.48 | 10 |
| 57.73 | 16 |
| 60.34 | 12 |
| 61.71 | 13 |


# 10
Diffraction record for Na4DyHg5. The powder diffraction line list is computed, not measured: it uses DFT lattice parameters and positions (PBE) and Cu Kα.
Kinematic intensities with the Lorentz-polarization factor, no thermal factor.

Structural model:
abc: 3.7400 3.7400 18.4767
angles: 90.00 90.00 90.00
Sites, in units of the cell vectors:
Na 0.0000 0.0000 0.0982
Na 0.0000 0.0000 0.3004
Na 0.0000 0.0000 0.6996
Na 0.0000 0.0000 0.9018
Dy 0.0000 0.0000 0.5000
Hg 0.5000 0.5000 0.0000
Hg 0.5000 0.5000 0.1963
Hg 0.5000 0.5000 0.4040
Hg 0.5000 0.5000 0.5960
Hg 0.5000 0.5000 0.8037

Top 12 peaks for 2θ = 10–90°, in order of rising 2θ:
| 2theta | Rel. int. |
| --- | --- |
| 23.79 | 43 |
| 24.08 | 20 |
| 33.90 | 51 |
| 34.11 | 100 |
| 42.01 | 20 |
| 48.69 | 19 |
| 54.89 | 9 |
| 55.04 | 10 |
| 60.79 | 38 |
| 61.19 | 18 |
| 71.83 | 11 |
| 81.48 | 9 |


# 11
Diffraction record for Pu3Ge2Pd2. The powder diffraction line list is computed, not measured: it uses DFT lattice parameters and positions (PBE) and Cu Kα.
Kinematic intensities with the Lorentz-polarization factor, no thermal factor.

Structural model:
abc: 5.7028 8.0731 13.0726
angles: 90.00 90.00 90.00
Sites, in units of the cell vectors:
Pu 0.1292 0.1082 0.1004
Pu 0.1292 0.1082 0.3996
Pu 0.1292 0.3918 0.6004
Pu 0.1292 0.3918 0.8996
Pu 0.3481 0.7467 0.2500
Pu 0.3481 0.7533 0.7500
Pu 0.6519 0.2467 0.2500
Pu 0.6519 0.2533 0.7500
Pu 0.8708 0.6082 0.1004
Pu 0.8708 0.6082 0.3996
Pu 0.8708 0.8918 0.6004
Pu 0.8708 0.8918 0.8996
Ge 0.1366 0.1083 0.7500
Ge 0.1366 0.3917 0.2500
Ge 0.3206 0.7500 0.0000
Ge 0.3206 0.7500 0.5000
Ge 0.6794 0.2500 0.0000
Ge 0.6794 0.2500 0.5000
Ge 0.8634 0.6083 0.7500
Ge 0.8634 0.8917 0.2500
Pd 0.3886 0.0419 0.5938
Pd 0.3886 0.0419 0.9062
Pd 0.3886 0.4581 0.0938
Pd 0.3886 0.4581 0.4062
Pd 0.6114 0.5419 0.5938
Pd 0.6114 0.5419 0.9062
Pd 0.6114 0.9581 0.0938
Pd 0.6114 0.9581 0.4062

Top 12 peaks for 2θ = 10–90°, in order of rising 2θ:
| 2theta | Rel. int. |
| --- | --- |
| 23.45 | 26 |
| 25.94 | 22 |
| 30.18 | 39 |
| 33.32 | 64 |
| 33.50 | 71 |
| 34.10 | 100 |
| 35.34 | 44 |
| 36.94 | 77 |
| 39.38 | 92 |
| 41.44 | 36 |
| 47.81 | 26 |
| 56.69 | 32 |


# 12
Diffraction record for TbTlReO6. The powder diffraction line list is computed, not measured: it uses DFT lattice parameters and positions (PBE) and Cu Kα.
Kinematic intensities with the Lorentz-polarization factor, no thermal factor.

Structural model:
abc: 5.6240 5.6240 4.9717
angles: 90.00 90.00 120.00
Sites, in units of the cell vectors:
Tb 0.0000 0.0000 0.0000
Tl 0.3333 0.6667 0.5000
Re 0.6667 0.3333 0.0000
O 0.3789 0.0613 0.7828
O 0.3789 0.3176 0.2172
O 0.6824 0.0613 0.2172
O 0.6824 0.6211 0.7828
O 0.9387 0.3176 0.7828
O 0.9387 0.6211 0.2172

Top 12 peaks for 2θ = 10–90°, in order of rising 2θ:
| 2theta | Rel. int. |
| --- | --- |
| 25.60 | 100 |
| 31.82 | 51 |
| 36.13 | 10 |
| 41.28 | 27 |
| 48.90 | 42 |
| 53.05 | 28 |
| 56.70 | 14 |
| 58.86 | 10 |
| 69.10 | 11 |
| 72.51 | 11 |
| 77.50 | 9 |
| 78.09 | 10 |


# 13
Diffraction record for Mg2InHg7. The powder diffraction line list is computed, not measured: it uses DFT lattice parameters and positions (PBE) and Cu Kα.
Kinematic intensities with the Lorentz-polarization factor, no thermal factor.

Structural model:
abc: 12.9690 12.9690 12.9690
angles: 159.78 159.78 28.75
Sites, in units of the cell vectors:
Mg 0.1747 0.1747 0.0000
Mg 0.8253 0.8253 0.0000
In 0.5000 0.5000 0.0000
Hg 0.0000 0.0000 0.0000
Hg 0.1009 0.6009 0.5000
Hg 0.2500 0.7500 0.5000
Hg 0.3991 0.8991 0.5000
Hg 0.6009 0.1009 0.5000
Hg 0.7500 0.2500 0.5000
Hg 0.8991 0.3991 0.5000

Top 12 peaks for 2θ = 10–90°, in order of rising 2θ:
| 2theta | Rel. int. |
| --- | --- |
| 21.22 | 19 |
| 27.70 | 32 |
| 28.42 | 20 |
| 28.62 | 17 |
| 31.21 | 22 |
| 35.16 | 100 |
| 39.58 | 46 |
| 49.44 | 18 |
| 57.21 | 16 |
| 58.91 | 22 |
| 68.96 | 29 |
| 86.68 | 16 |